[1]
Simulated X-ray powder pattern
Compound: Pm10Ho4Th
Radiation: Cu Kα
Structure: the GGA-PBE geometry in Alexandria
Neutral-atom scattering factors, no anomalous dispersion.

Largest 10 diffraction maxima, by angle, 10° ≤ 2θ ≤ 90°:
| 2theta | I/Imax |
| --- | --- |
| 12.0 | 17 |
| 21.5 | 25 |
| 26.1 | 18 |
| 28.3 | 71 |
| 31.7 | 100 |
| 32.8 | 47 |
| 40.5 | 29 |
| 41.0 | 20 |
| 58.6 | 24 |
| 68.8 | 18 |

Atomic structure:
```
Pm10Ho4Th
1.0
-4.9860 4.9860 5.4592
4.9860 -4.9860 5.4592
4.9860 4.9860 -5.4592
Pm Ho Th
10 4 1
direct
0.0507 0.7076 0.1036 Pm
0.0529 0.9493 0.6568 Pm
0.2500 0.7500 0.5000 Pm
0.2924 0.3961 0.3432 Pm
0.3961 0.0529 0.1036 Pm
0.6039 0.9471 0.8964 Pm
0.7076 0.6039 0.6568 Pm
0.7500 0.2500 0.5000 Pm
0.9471 0.0507 0.3432 Pm
0.9493 0.2924 0.8964 Pm
0.2211 0.5589 0.7800 Ho
0.4411 0.2211 0.6622 Ho
0.5589 0.7789 0.3378 Ho
0.7789 0.4411 0.2200 Ho
0.0000 0.0000 0.0000 Th
```

[2]
Simulated X-ray powder pattern
Compound: ThRe3B3
Radiation: Cu Kα
Structure: the GGA-PBE geometry in Alexandria
Neutral-atom scattering factors, no anomalous dispersion.

Largest 10 diffraction maxima, by angle, 10° ≤ 2θ ≤ 90°:
| 2theta | I/Imax |
| --- | --- |
| 24.1 | 67 |
| 32.1 | 57 |
| 36.4 | 100 |
| 36.6 | 84 |
| 38.4 | 68 |
| 44.1 | 82 |
| 44.3 | 23 |
| 62.9 | 60 |
| 71.1 | 22 |
| 73.4 | 23 |

Atomic structure:
```
ThRe3B3
1.0
8.5145 0.0000 0.0000
-4.2572 7.3738 0.0000
0.0000 0.0000 3.0311
Th Re B
2 6 6
direct
0.3333 0.6667 0.2500 Th
0.6667 0.3333 0.7500 Th
0.0338 0.7457 0.7500 Re
0.2543 0.2880 0.7500 Re
0.2880 0.0338 0.2500 Re
0.7120 0.9662 0.7500 Re
0.7457 0.7120 0.2500 Re
0.9662 0.2543 0.2500 Re
0.0321 0.4744 0.7500 B
0.4423 0.9679 0.7500 B
0.4744 0.4423 0.2500 B
0.5256 0.5577 0.7500 B
0.5577 0.0321 0.2500 B
0.9679 0.5256 0.2500 B
```

[3]
Simulated X-ray powder pattern
Compound: Ce4ZnTc
Radiation: Cu Kα
Structure: the GGA-PBE geometry in Alexandria
Neutral-atom scattering factors, no anomalous dispersion.

Largest 10 diffraction maxima, by angle, 10° ≤ 2θ ≤ 90°:
| 2theta | I/Imax |
| --- | --- |
| 35.6 | 53 |
| 36.0 | 100 |
| 51.3 | 18 |
| 52.4 | 8 |
| 64.3 | 36 |
| 65.0 | 16 |
| 76.4 | 10 |
| 86.4 | 8 |
| 86.6 | 8 |
| 88.3 | 7 |

Atomic structure:
```
Ce4ZnTc
1.0
3.5623 0.0000 0.0000
0.0000 3.5623 0.0000
0.0000 0.0000 10.4792
Ce Zn Tc
4 1 1
direct
0.0000 0.0000 0.1561 Ce
0.0000 0.0000 0.8439 Ce
0.5000 0.5000 0.3267 Ce
0.5000 0.5000 0.6733 Ce
0.0000 0.0000 0.5000 Zn
0.5000 0.5000 0.0000 Tc
```

[4]
Simulated X-ray powder pattern
Compound: K2NdAgF6
Radiation: Cu Kα
Structure: the GGA-PBE geometry in Alexandria
Neutral-atom scattering factors, no anomalous dispersion.

Largest 10 diffraction maxima, by angle, 10° ≤ 2θ ≤ 90°:
| 2theta | I/Imax |
| --- | --- |
| 19.2 | 45 |
| 19.5 | 96 |
| 27.1 | 100 |
| 27.2 | 42 |
| 27.9 | 91 |
| 28.0 | 37 |
| 39.1 | 28 |
| 39.5 | 54 |
| 43.8 | 35 |
| 48.6 | 46 |

Atomic structure:
```
K2NdAgF6
1.0
6.3672 0.0000 0.0000
0.0000 6.5472 0.0000
-6.0320 0.0000 9.2216
K Nd Ag F
4 2 2 12
direct
0.2198 0.0510 0.2423 K
0.2198 0.4490 0.7423 K
0.7802 0.5510 0.2577 K
0.7802 0.9490 0.7577 K
0.5000 0.0000 0.0000 Nd
0.5000 0.5000 0.5000 Nd
0.0000 0.0000 0.5000 Ag
0.0000 0.5000 0.0000 Ag
0.1627 0.1960 0.9499 F
0.1627 0.3040 0.4499 F
0.2357 0.7236 0.9260 F
0.2357 0.7764 0.4260 F
0.3872 0.0606 0.7673 F
0.3872 0.4394 0.2673 F
0.6128 0.5606 0.7327 F
0.6128 0.9394 0.2327 F
0.7643 0.2236 0.5740 F
0.7643 0.2764 0.0740 F
0.8373 0.6960 0.5501 F
0.8373 0.8040 0.0501 F
```

[5]
Simulated X-ray powder pattern
Compound: Tm5ThAu4
Radiation: Cu Kα
Structure: the GGA-PBE geometry in Alexandria
Neutral-atom scattering factors, no anomalous dispersion.

Largest 10 diffraction maxima, by angle, 10° ≤ 2θ ≤ 90°:
| 2theta | I/Imax |
| --- | --- |
| 31.4 | 8 |
| 34.4 | 100 |
| 35.8 | 60 |
| 37.9 | 19 |
| 51.6 | 22 |
| 60.8 | 8 |
| 63.5 | 35 |
| 65.1 | 11 |
| 86.2 | 8 |
| 87.0 | 10 |

Atomic structure:
```
Tm5ThAu4
1.0
3.5427 0.0000 0.0000
0.0000 3.5427 0.0000
0.0000 0.0000 19.2094
Tm Th Au
5 1 4
direct
0.0000 0.0000 0.0000 Tm
0.0000 0.0000 0.1867 Tm
0.0000 0.0000 0.3704 Tm
0.0000 0.0000 0.6296 Tm
0.0000 0.0000 0.8133 Tm
0.5000 0.5000 0.5000 Th
0.5000 0.5000 0.0925 Au
0.5000 0.5000 0.2800 Au
0.5000 0.5000 0.7200 Au
0.5000 0.5000 0.9075 Au
```

[6]
Simulated X-ray powder pattern
Compound: TmMnSb3
Radiation: Cu Kα
Structure: the GGA-PBE geometry in Alexandria
Neutral-atom scattering factors, no anomalous dispersion.

Largest 10 diffraction maxima, by angle, 10° ≤ 2θ ≤ 90°:
| 2theta | I/Imax |
| --- | --- |
| 29.7 | 51 |
| 32.1 | 82 |
| 33.1 | 52 |
| 35.3 | 100 |
| 35.7 | 25 |
| 36.0 | 32 |
| 36.8 | 37 |
| 41.8 | 77 |
| 56.5 | 26 |
| 69.8 | 27 |

Atomic structure:
```
TmMnSb3
1.0
12.5589 0.0000 0.0000
0.0000 6.2175 0.0000
0.0000 0.0000 6.0047
Tm Mn Sb
4 4 12
direct
0.1884 0.0041 0.2500 Tm
0.1884 0.4959 0.7500 Tm
0.8116 0.5041 0.2500 Tm
0.8116 0.9959 0.7500 Tm
0.4019 0.7500 0.0000 Mn
0.4019 0.7500 0.5000 Mn
0.5981 0.2500 0.0000 Mn
0.5981 0.2500 0.5000 Mn
0.0024 0.7500 0.0000 Sb
0.0024 0.7500 0.5000 Sb
0.2681 0.0008 0.7500 Sb
0.2681 0.4992 0.2500 Sb
0.4348 0.1040 0.2500 Sb
0.4348 0.3960 0.7500 Sb
0.5652 0.6040 0.2500 Sb
0.5652 0.8960 0.7500 Sb
0.7319 0.5008 0.7500 Sb
0.7319 0.9992 0.2500 Sb
0.9976 0.2500 0.0000 Sb
0.9976 0.2500 0.5000 Sb
```

[7]
Simulated X-ray powder pattern
Compound: CaRe2Ru
Radiation: Cu Kα
Structure: the GGA-PBE geometry in Alexandria
Neutral-atom scattering factors, no anomalous dispersion.

Largest 10 diffraction maxima, by angle, 10° ≤ 2θ ≤ 90°:
| 2theta | I/Imax |
| --- | --- |
| 20.6 | 51 |
| 36.9 | 34 |
| 38.5 | 21 |
| 39.8 | 100 |
| 41.4 | 19 |
| 52.4 | 14 |
| 54.4 | 15 |
| 56.7 | 15 |
| 68.5 | 20 |
| 73.2 | 9 |

Atomic structure:
```
CaRe2Ru
1.0
-1.5247 2.4364 4.6767
1.5247 -2.4364 4.6767
1.5247 2.4364 -4.6767
Ca Re Ru
1 2 1
direct
0.0000 0.0000 0.0000 Ca
0.2861 0.7861 0.5000 Re
0.4977 0.4977 0.0000 Re
0.7230 0.2230 0.5000 Ru
```

[8]
Simulated X-ray powder pattern
Compound: Ce2Sn5
Radiation: Cu Kα
Structure: the GGA-PBE geometry in Alexandria
Neutral-atom scattering factors, no anomalous dispersion.

Largest 10 diffraction maxima, by angle, 10° ≤ 2θ ≤ 90°:
| 2theta | I/Imax |
| --- | --- |
| 32.8 | 100 |
| 36.0 | 18 |
| 38.8 | 18 |
| 39.3 | 16 |
| 53.9 | 10 |
| 54.3 | 10 |
| 56.4 | 12 |
| 66.4 | 14 |
| 67.1 | 13 |
| 68.7 | 10 |

Atomic structure:
```
Ce2Sn5
1.0
2.2944 -17.4749 0.0000
2.2944 17.4749 0.0000
0.0000 0.0000 4.6463
Ce Sn
4 10
direct
0.0685 0.9315 0.0000 Ce
0.2034 0.7966 0.0000 Ce
0.7966 0.2034 0.0000 Ce
0.9315 0.0685 0.0000 Ce
0.0000 0.0000 0.5000 Sn
0.1387 0.8613 0.5000 Sn
0.2799 0.7201 0.5000 Sn
0.3618 0.6382 0.0000 Sn
0.4292 0.5708 0.5000 Sn
0.5000 0.5000 0.0000 Sn
0.5708 0.4292 0.5000 Sn
0.6382 0.3618 0.0000 Sn
0.7201 0.2799 0.5000 Sn
0.8613 0.1387 0.5000 Sn
```

[9]
Simulated X-ray powder pattern
Compound: Tl3AuO6
Radiation: Cu Kα
Structure: the GGA-PBE geometry in Alexandria
Neutral-atom scattering factors, no anomalous dispersion.

Largest 10 diffraction maxima, by angle, 10° ≤ 2θ ≤ 90°:
| 2theta | I/Imax |
| --- | --- |
| 29.7 | 100 |
| 31.7 | 17 |
| 31.9 | 18 |
| 39.2 | 10 |
| 45.6 | 18 |
| 51.2 | 9 |
| 51.4 | 9 |
| 55.2 | 14 |
| 55.5 | 18 |
| 61.6 | 8 |

Atomic structure:
```
Tl3AuO6
1.0
4.6016 -5.6089 0.0000
4.6016 5.6089 0.0000
0.0000 0.0000 5.6494
Tl Au O
6 2 12
direct
0.1034 0.8966 0.5000 Tl
0.1563 0.4056 0.5669 Tl
0.4056 0.1563 0.0669 Tl
0.5944 0.8437 0.5669 Tl
0.8437 0.5944 0.0669 Tl
0.8966 0.1034 0.0000 Tl
0.3752 0.6248 0.0811 Au
0.6248 0.3752 0.5811 Au
0.0967 0.6117 0.2944 O
0.1410 0.1813 0.2676 O
0.1813 0.1410 0.7676 O
0.2917 0.7083 0.7692 O
0.3883 0.9033 0.2944 O
0.4600 0.5400 0.4094 O
0.5400 0.4600 0.9094 O
0.6117 0.0967 0.7944 O
0.7083 0.2917 0.2692 O
0.8187 0.8590 0.2676 O
0.8590 0.8187 0.7676 O
0.9033 0.3883 0.7944 O
```

[10]
Simulated X-ray powder pattern
Compound: Nd2PPd6
Radiation: Cu Kα
Structure: the GGA-PBE geometry in Alexandria
Neutral-atom scattering factors, no anomalous dispersion.

Largest 10 diffraction maxima, by angle, 10° ≤ 2θ ≤ 90°:
| 2theta | I/Imax |
| --- | --- |
| 28.9 | 4 |
| 35.5 | 100 |
| 41.3 | 56 |
| 45.2 | 4 |
| 54.5 | 4 |
| 59.8 | 35 |
| 71.5 | 34 |
| 75.2 | 11 |
| 85.2 | 4 |
| 89.6 | 5 |

Atomic structure:
```
Nd2PPd6
1.0
0.0000 4.3757 4.3757
4.3757 0.0000 4.3757
4.3757 4.3757 0.0000
Nd P Pd
2 1 6
direct
0.2500 0.2500 0.2500 Nd
0.7500 0.7500 0.7500 Nd
0.0000 0.0000 0.0000 P
0.2681 0.2681 0.7319 Pd
0.2681 0.7319 0.2681 Pd
0.2681 0.7319 0.7319 Pd
0.7319 0.2681 0.2681 Pd
0.7319 0.2681 0.7319 Pd
0.7319 0.7319 0.2681 Pd
```

[11]
Simulated X-ray powder pattern
Compound: AgTe6Mo6
Radiation: Cu Kα
Structure: the GGA-PBE geometry in Alexandria
Neutral-atom scattering factors, no anomalous dispersion.

Largest 10 diffraction maxima, by angle, 10° ≤ 2θ ≤ 90°:
| 2theta | I/Imax |
| --- | --- |
| 10.8 | 100 |
| 11.2 | 15 |
| 27.4 | 37 |
| 30.0 | 14 |
| 36.0 | 27 |
| 39.0 | 35 |
| 40.6 | 43 |
| 41.5 | 49 |
| 44.9 | 13 |
| 46.0 | 14 |

Atomic structure:
```
AgTe6Mo6
1.0
9.1796 -2.3085 0.0000
9.1796 2.3085 0.0000
-4.9323 0.0000 8.1965
Ag Te Mo
1 6 6
direct
0.0000 0.0000 0.0000 Ag
0.1203 0.1203 0.6343 Te
0.1792 0.1792 0.1057 Te
0.4566 0.4566 0.7494 Te
0.5434 0.5434 0.2506 Te
0.8208 0.8208 0.8943 Te
0.8797 0.8797 0.3657 Te
0.1536 0.1536 0.3774 Mo
0.2855 0.2855 0.6851 Mo
0.3119 0.3119 0.4359 Mo
0.6881 0.6881 0.5641 Mo
0.7145 0.7145 0.3149 Mo
0.8464 0.8464 0.6226 Mo
```

[12]
Simulated X-ray powder pattern
Compound: NaLiHg5
Radiation: Cu Kα
Structure: the GGA-PBE geometry in Alexandria
Neutral-atom scattering factors, no anomalous dispersion.

Largest 10 diffraction maxima, by angle, 10° ≤ 2θ ≤ 90°:
| 2theta | I/Imax |
| --- | --- |
| 22.9 | 18 |
| 26.9 | 41 |
| 29.3 | 40 |
| 34.6 | 23 |
| 35.6 | 100 |
| 38.4 | 53 |
| 52.6 | 28 |
| 55.4 | 19 |
| 66.4 | 21 |
| 67.6 | 32 |

Atomic structure:
```
NaLiHg5
1.0
3.3151 -3.3153 0.0000
3.3151 3.3153 0.0000
0.0000 0.0000 15.5564
Na Li Hg
2 2 10
direct
0.0008 0.9992 0.7500 Na
0.9992 0.0008 0.2500 Na
0.5000 0.5000 0.0000 Li
0.5000 0.5000 0.5000 Li
0.0004 0.4992 0.6022 Hg
0.0004 0.4992 0.8978 Hg
0.9996 0.5008 0.1022 Hg
0.9996 0.5008 0.3978 Hg
0.4992 0.0004 0.1022 Hg
0.4992 0.0004 0.3978 Hg
0.4992 0.5008 0.2500 Hg
0.5008 0.9996 0.6022 Hg
0.5008 0.9996 0.8978 Hg
0.5008 0.4992 0.7500 Hg
```